Calculated X-ray diffraction stick pattern
Compound: Tb2Ni5Ge3H2
Radiation: Cu Kα (weighted mean of Kα1 and Kα2)
Structure: a crystal structure in Alexandria, relaxed with GGA-PBE

Cell and atoms:
```
12
Lattice="-1.9762 1.9762 10.2610 1.9762 -1.9762 10.2610 1.9762 1.9762 -10.2610" Properties=species:S:1:pos:R:3 pbc="T T T"
Tb 0.0000 0.0000 3.9577
Tb 0.0000 0.0000 16.5642
Ni 0.0000 0.0000 0.0000
Ni 1.9762 0.0000 1.6130
Ni 1.9762 0.0000 8.6480
Ni 0.0000 1.9762 1.6130
Ni 0.0000 1.9762 8.6480
Ge 0.0000 0.0000 7.0962
Ge 0.0000 0.0000 10.2610
Ge 0.0000 0.0000 13.4258
H 0.0000 0.0000 1.6189
H 0.0000 0.0000 18.9031
```

Main lines, most intense first (10 to 80 degrees two-theta):
41.7 deg, 2.164 Å, I 1000; 45.9 deg, 1.976 Å, I 587; 31.4 deg, 2.847 Å, I 333; 33.2 deg, 2.697 Å, I 327; 38.2 deg, 2.355 Å, I 284; 32.0 deg, 2.795 Å, I 254; 26.0 deg, 3.422 Å, I 200; 67.0 deg, 1.397 Å, I 185; 63.5 deg, 1.466 Å, I 148; 61.2 deg, 1.514 Å, I 142